Diffraction record for TbYInNi2. The powder diffractogram is theoretical, not measured: it uses DFT lattice parameters and positions (GGA-PBE) and a wavelength of 1.5418 Å.

Cell and atoms:
a b c (Å): 3.6869 3.9009 14.4055
angles (deg): 90.00 90.00 90.00
Space group Amm2 (No. 38)
One atom of each set of equivalent atoms:
Tb: 0.0000 0.0000 0.0000 x2
Y: 0.0000 0.0000 0.2765 x2
In: 0.5000 0.0000 0.6390 x2
Ni: 0.5000 0.0000 0.4388 x2
Ni: 0.5000 0.0000 0.8395 x2

The 6 most intense peaks (2θ = 10–90°), by angle:
(hkl)	2θ/deg	intensity
0 1 3	29.50	36.5
1 1 1	34.03	100.0
1 0 4	34.82	70.3
1 1 3	38.47	28.8
0 1 5	38.86	39.1
1 2 4	59.44	29.1